# 1
SnSe2: theoretical X-ray diffraction stick pattern (a wavelength of 1.5418 Å), based on the PBE geometry in the Materials Project.
Intensities are scaled so that the largest is 100.

Principal peaks in the range 10 to 90 degrees two-theta, low angle first:
2θ 12.8, rel. 74, hkl 0 0 1; 2θ 29.6, rel. 100, hkl 0 1 1; 2θ 37.4, rel. 70, hkl 0 1 2; 2θ 46.9, rel. 35, hkl 1 1 0; 2θ 47.9, rel. 33, hkl 1 0 3; 2θ 48.8, rel. 16, hkl 1 1 1; 2θ 56.5, rel. 16, hkl 2 0 1; 2θ 61.5, rel. 16, hkl 2 0 2; 2θ 73.5, rel. 17, hkl 1 1 4; 2θ 80.7, rel. 16, hkl 1 2 2

Structural model:
Cell: 3.873 3.873 6.905 Å, 90.00 90.00 120.00°
Sites, in units of the cell vectors:
Sn (0.000, 0.000, 0.000)
Se (0.333, 0.667, 0.231)
Se (0.667, 0.333, 0.769)



# 2
Y5Si2B8: theoretical X-ray diffraction stick pattern (a wavelength of 1.5418 Å), based on the PBE geometry in the Materials Project.
Intensities are scaled so that the largest is 100.

Principal peaks in the range 10 to 90 degrees two-theta, low angle first:
2θ 27.0, rel. 16, hkl 2 0 1; 2θ 27.5, rel. 49, hkl 2 1 0; 2θ 33.2, rel. 91, hkl 2 0 2; 2θ 35.0, rel. 19, hkl 2 2 0; 2θ 35.5, rel. 100, hkl 2 1 2; 2θ 39.3, rel. 33, hkl 3 1 0; 2θ 44.7, rel. 17, hkl 0 0 4; 2θ 52.0, rel. 24, hkl 4 1 0; 2θ 57.1, rel. 25, hkl 4 1 2; 2θ 58.7, rel. 18, hkl 3 3 2

Structural model:
Cell: 7.245 7.245 8.111 Å, 90.00 90.00 90.00°
Sites, in units of the cell vectors:
Y (0.000, 0.000, 0.000)
Y (0.181, 0.319, 0.276)
Y (0.181, 0.319, 0.724)
Y (0.319, 0.819, 0.276)
Y (0.319, 0.819, 0.724)
Y (0.500, 0.500, 0.000)
Y (0.681, 0.181, 0.276)
Y (0.681, 0.181, 0.724)
Y (0.819, 0.681, 0.276)
Y (0.819, 0.681, 0.724)
Si (0.115, 0.615, 0.000)
Si (0.385, 0.115, 0.000)
Si (0.615, 0.885, 0.000)
Si (0.885, 0.385, 0.000)
B (0.000, 0.000, 0.338)
B (0.000, 0.000, 0.662)
B (0.039, 0.828, 0.500)
B (0.090, 0.590, 0.500)
B (0.172, 0.039, 0.500)
B (0.328, 0.539, 0.500)
B (0.410, 0.090, 0.500)
B (0.461, 0.328, 0.500)
B (0.500, 0.500, 0.338)
B (0.500, 0.500, 0.662)
B (0.539, 0.672, 0.500)
B (0.590, 0.910, 0.500)
B (0.672, 0.461, 0.500)
B (0.828, 0.961, 0.500)
B (0.910, 0.410, 0.500)
B (0.961, 0.172, 0.500)